(1)
For Na5Mn2AsC4O16, DFT lattice parameters and positions (PBE+U) gives the calculated X-ray powder pattern in this record (CuKα).
Lines closer than 0.1° are merged.

Structural model:
```
data_Na5Mn2AsC4O16
_cell_length_a 14.1348
_cell_length_b 14.3757
_cell_length_c 14.2162
_cell_angle_alpha 90.00
_cell_angle_beta 90.00
_cell_angle_gamma 90.00
_space_group_name_H-M_alt 'F d d 2'
_space_group_IT_number 43
_space_group_name_Hall 'F 2 -2d'
loop_
_atom_site_label
_atom_site_type_symbol
_atom_site_fract_x
_atom_site_fract_y
_atom_site_fract_z
Na1 Na 0.0000 0.0000 0.0000
Na2 Na 0.0064 0.2889 0.7108
Na3 Na 0.0377 0.2438 0.4602
Mn1 Mn 0.1226 0.3768 0.0871
As1 As 0.0000 0.0000 0.2126
C1 C 0.0913 0.0923 0.6236
C2 C 0.0921 0.4073 0.3039
O1 O 0.0229 0.3936 0.3627
O2 O 0.0239 0.1074 0.5635
O3 O 0.0697 0.4307 0.6417
O4 O 0.0736 0.0720 0.2764
O5 O 0.0973 0.1461 0.6965
O6 O 0.0991 0.2249 0.0674
O7 O 0.0986 0.2759 0.8596
O8 O 0.1031 0.3504 0.2329
```

Most intense lines, 2θ = 5–70°, by angle:
| two_theta | d_spacing | I (rel.) |
| --- | --- | --- |
| 17.55 | 5.052 | 29.3 |
| 20.54 | 4.323 | 46.4 |
| 20.75 | 4.281 | 100.0 |
| 32.39 | 2.764 | 43.8 |
| 32.72 | 2.737 | 42.3 |
| 32.90 | 2.722 | 38.9 |
| 35.52 | 2.527 | 30.0 |
| 35.83 | 2.506 | 29.3 |

***

(2)
For Na5Mn2AsC4O16, DFT lattice parameters and positions (PBE+U) gives the calculated X-ray powder pattern in this record (CuKα).
Lines closer than 0.1° are merged.

Structural model:
```
data_Na5Mn2AsC4O16
_cell_length_a 14.1059
_cell_length_b 14.2254
_cell_length_c 14.3901
_cell_angle_alpha 90.00
_cell_angle_beta 90.00
_cell_angle_gamma 90.00
_space_group_name_H-M_alt 'F 2 2 2'
_space_group_IT_number 22
_space_group_name_Hall 'F 2 2'
loop_
_atom_site_label
_atom_site_type_symbol
_atom_site_fract_x
_atom_site_fract_y
_atom_site_fract_z
Na1 Na 0.0000 0.0000 0.2080
Na2 Na 0.0000 0.2118 0.0000
Na3 Na 0.0370 0.2500 0.7500
Na4 Na 0.2108 0.0000 0.0000
Na5 Na 0.2500 0.2500 0.5406
Mn1 Mn 0.1267 0.1230 0.3737
As1 As 0.0000 0.0000 0.0000
As2 As 0.2500 0.2500 0.7500
C1 C 0.0894 0.0895 0.5914
C2 C 0.1586 0.1620 0.1567
O1 O 0.0213 0.1505 0.6051
O2 O 0.0698 0.0717 0.9317
O3 O 0.0943 0.0170 0.6454
O4 O 0.0995 0.1480 0.2236
O5 O 0.1478 0.2337 0.1003
O6 O 0.1503 0.1036 0.5261
O7 O 0.1752 0.1870 0.8213
O8 O 0.2275 0.1038 0.1420
```

Most intense lines, 2θ = 5–70°, by angle:
| two_theta | d_spacing | I (rel.) |
| --- | --- | --- |
| 17.54 | 5.055 | 53.0 |
| 20.53 | 4.326 | 79.0 |
| 20.70 | 4.290 | 100.0 |
| 20.83 | 4.264 | 70.6 |
| 32.37 | 2.766 | 79.1 |
| 32.70 | 2.738 | 74.2 |
| 32.96 | 2.717 | 66.6 |
| 35.49 | 2.529 | 51.2 |

***

(3)
For Na4Mn2AsC4O16, DFT lattice parameters and positions (PBE+U) gives the calculated X-ray powder pattern in this record (CuKα).
Lines closer than 0.1° are merged.

Structural model:
```
data_Na4Mn2AsC4O16
_cell_length_a 13.7797
_cell_length_b 14.2988
_cell_length_c 14.4371
_cell_angle_alpha 90.00
_cell_angle_beta 90.00
_cell_angle_gamma 90.00
_space_group_name_H-M_alt 'F d d d'
_space_group_IT_number 70
loop_
_space_group_symop_operation_xyz
'x,y,z'
'-x,-y,-z'
'-x+1/4,-y+1/4,z'
'x+1/4,y+1/4,-z'
'x,-y+1/4,-z+1/4'
'-x,y+1/4,z+1/4'
'-x+1/4,y,-z+1/4'
'x+1/4,-y,z+1/4'
'x,y+1/2,z+1/2'
'-x,-y+1/2,-z+1/2'
'-x+1/4,-y+3/4,z+1/2'
'x+1/4,y+3/4,-z+1/2'
'x,-y+3/4,-z+3/4'
'-x,y+3/4,z+3/4'
'-x+1/4,y+1/2,-z+3/4'
'x+1/4,-y+1/2,z+3/4'
'x+1/2,y,z+1/2'
'-x+1/2,-y,-z+1/2'
'-x+3/4,-y+1/4,z+1/2'
'x+3/4,y+1/4,-z+1/2'
'x+1/2,-y+1/4,-z+3/4'
'-x+1/2,y+1/4,z+3/4'
'-x+3/4,y,-z+3/4'
'x+3/4,-y,z+3/4'
'x+1/2,y+1/2,z'
'-x+1/2,-y+1/2,-z'
'-x+3/4,-y+3/4,z'
'x+3/4,y+3/4,-z'
'x+1/2,-y+3/4,-z+1/4'
'-x+1/2,y+3/4,z+1/4'
'-x+3/4,y+1/2,-z+1/4'
'x+3/4,-y+1/2,z+1/4'
loop_
_atom_site_label
_atom_site_type_symbol
_atom_site_fract_x
_atom_site_fract_y
_atom_site_fract_z
Na1 Na 0.0889 0.3750 0.3750
Na2 Na 0.1250 0.1250 0.3346
Mn1 Mn 0.0000 0.0000 0.5000
As1 As 0.1250 0.1250 0.1250
C1 C 0.0357 0.0416 0.7174
O1 O 0.0238 0.2745 0.9015
O2 O 0.0262 0.1142 0.7712
O3 O 0.0513 0.0596 0.0540
O4 O 0.1061 0.2674 0.5151
```

Most intense lines, 2θ = 5–70°, by angle:
| two_theta | d_spacing | I (rel.) |
| --- | --- | --- |
| 17.46 | 5.080 | 68.5 |
| 17.88 | 4.961 | 66.5 |
| 20.51 | 4.330 | 69.7 |
| 20.66 | 4.300 | 100.0 |
| 21.23 | 4.185 | 57.9 |
| 32.29 | 2.772 | 69.2 |
| 32.57 | 2.749 | 47.6 |
| 33.70 | 2.660 | 51.7 |

***

(4)
For NaMnAsCO7, DFT lattice parameters and positions (PBE+U) gives the calculated X-ray powder pattern in this record (CuKα).
Lines closer than 0.1° are merged.

Structural model:
```
data_NaMnAsCO7
_cell_length_a 5.3985
_cell_length_b 6.4396
_cell_length_c 9.2875
_cell_angle_alpha 90.00
_cell_angle_beta 92.93
_cell_angle_gamma 90.00
_space_group_name_H-M_alt 'P 1 21 1'
_space_group_IT_number 4
loop_
_space_group_symop_operation_xyz
'x,y,z'
'-x,y+1/2,-z'
loop_
_atom_site_label
_atom_site_type_symbol
_atom_site_fract_x
_atom_site_fract_y
_atom_site_fract_z
Na1 Na 0.2349 0.0000 0.2747
Mn1 Mn 0.2124 0.2224 0.8377
As1 As 0.2805 0.7283 0.9357
C1 C 0.2758 0.2343 0.5812
O1 O 0.0572 0.2320 0.6391
O2 O 0.1270 0.7366 0.0917
O3 O 0.1979 0.5246 0.8237
O4 O 0.2081 0.9274 0.8182
O5 O 0.3088 0.2321 0.4512
O6 O 0.4040 0.2131 0.0218
O7 O 0.4560 0.2369 0.6842
```

Most intense lines, 2θ = 5–70°, by angle:
| two_theta | d_spacing | I (rel.) |
| --- | --- | --- |
| 9.54 | 9.275 | 100.0 |
| 16.76 | 5.290 | 15.4 |
| 18.61 | 4.768 | 18.5 |
| 19.46 | 4.561 | 14.9 |
| 23.91 | 3.722 | 25.5 |
| 24.67 | 3.608 | 24.8 |
| 27.71 | 3.220 | 28.5 |
| 33.23 | 2.696 | 14.6 |

***

(5)
For Na6Ni2AsC4O16, DFT lattice parameters and positions (PBE+U) gives the calculated X-ray powder pattern in this record (CuKα).
Lines closer than 0.1° are merged.

Structural model:
Cell lengths 13.9838, 13.9838, 13.9838 Å; angles 90.00, 90.00, 90.00 degrees
Space group Fd-3 (No. 203, origin choice 2)
One atom of each set of equivalent atoms:
Na  0.0902  0.3750  0.3750
Ni  0.0000  0.0000  0.5000
As  0.1250  0.1250  0.1250
C  0.0342  0.0342  0.7158
O  0.0207  0.1041  0.7752
O  0.0540  0.0540  0.0540

Most intense lines, 2θ = 5–70°, by angle:
| two_theta | d_spacing | I (rel.) |
| --- | --- | --- |
| 17.94 | 4.944 | 21.9 |
| 21.07 | 4.216 | 100.0 |
| 33.29 | 2.691 | 85.1 |
| 36.34 | 2.472 | 72.3 |
| 42.90 | 2.108 | 16.5 |
| 50.11 | 1.821 | 17.6 |
| 57.04 | 1.615 | 35.4 |
| 65.39 | 1.427 | 16.7 |

***

(6)
For Na5Ni2AsC4O16, DFT lattice parameters and positions (PBE+U) gives the calculated X-ray powder pattern in this record (CuKα).
Lines closer than 0.1° are merged.

Structural model:
```
data_Na5Ni2AsC4O16
_cell_length_a 14.0334
_cell_length_b 14.1656
_cell_length_c 9.9012
_cell_angle_alpha 90.00
_cell_angle_beta 134.68
_cell_angle_gamma 90.00
_space_group_name_H-M_alt 'C 1 2/c 1'
_space_group_IT_number 15
loop_
_space_group_symop_operation_xyz
'x,y,z'
'-x,-y,-z'
'-x,y,-z+1/2'
'x,-y,z+1/2'
'x+1/2,y+1/2,z'
'-x+1/2,-y+1/2,-z'
'-x+1/2,y+1/2,-z+1/2'
'x+1/2,-y+1/2,z+1/2'
loop_
_atom_site_label
_atom_site_type_symbol
_atom_site_fract_x
_atom_site_fract_y
_atom_site_fract_z
Na1 Na 0.0000 0.0896 0.2500
Na2 Na 0.2227 0.1275 0.1829
Na3 Na 0.2239 0.1277 0.7630
Ni1 Ni 0.0000 0.5000 0.0000
Ni2 Ni 0.2500 0.2500 0.5000
As1 As 0.0000 0.1271 0.7500
C1 C 0.0001 0.2862 0.0742
C2 C 0.1804 0.4628 0.4316
O1 O 0.9995 0.0565 0.6073
O2 O 0.0457 0.3586 0.5346
O3 O 0.0842 0.2259 0.4590
O4 O 0.1255 0.4799 0.9613
O5 O 0.1278 0.2706 0.2098
O6 O 0.1455 0.1918 0.8939
O7 O 0.1694 0.4775 0.2923
O8 O 0.2463 0.1066 0.4524
```

Most intense lines, 2θ = 5–70°, by angle:
| two_theta | d_spacing | I (rel.) |
| --- | --- | --- |
| 10.90 | 8.120 | 26.2 |
| 17.78 | 4.989 | 60.3 |
| 20.83 | 4.264 | 94.6 |
| 20.98 | 4.235 | 99.8 |
| 32.87 | 2.724 | 46.5 |
| 33.05 | 2.710 | 50.6 |
| 33.15 | 2.702 | 52.9 |
| 36.00 | 2.494 | 100.0 |